# HoIBr
Simulated X-ray diffraction stick pattern, Cu Kα. Input: a PBE-relaxed structure.
Peak positions follow from Bragg's law for the DFT cell and can differ from measured ones.

Cell and atoms:
abc: 3.989 3.989 7.814
angles: 90.00 90.00 120.00
Element x y z (fractional)
1 Ho 0.000 0.000 0.000
2 I 0.333 0.667 0.745
3 Br 0.667 0.333 0.225

Peak list (8 most intense, 10 to 90 degrees two-theta, sorted by position)
- 11.3 deg, d = 7.814 Å, rel. 74
- 28.2 deg, d = 3.160 Å, rel. 100
- 34.7 deg, d = 2.588 Å, rel. 73
- 43.5 deg, d = 2.080 Å, rel. 33
- 45.5 deg, d = 1.995 Å, rel. 32
- 54.4 deg, d = 1.687 Å, rel. 16
- 58.4 deg, d = 1.580 Å, rel. 16
- 67.1 deg, d = 1.396 Å, rel. 19

***

# K2HoBrO2
Simulated X-ray diffraction stick pattern, Cu Kα. Input: a PBE-relaxed structure.
Peak positions follow from Bragg's law for the DFT cell and can differ from measured ones.

Cell and atoms:
abc: 4.457 4.457 6.619
angles: 90.00 90.00 90.00
Element x y z (fractional)
1 K 0.000 0.000 0.245
2 K 0.000 0.000 0.755
3 Ho 0.500 0.500 0.000
4 Br 0.500 0.500 0.500
5 O 0.000 0.500 0.000
6 O 0.500 0.000 0.000

Peak list (8 most intense, 10 to 90 degrees two-theta, sorted by position)
- 13.4 deg, d = 6.619 Å, rel. 30
- 19.9 deg, d = 4.457 Å, rel. 45
- 26.9 deg, d = 3.310 Å, rel. 16
- 28.3 deg, d = 3.152 Å, rel. 64
- 33.7 deg, d = 2.657 Å, rel. 100
- 40.5 deg, d = 2.229 Å, rel. 36
- 53.7 deg, d = 1.708 Å, rel. 51
- 83.5 deg, d = 1.158 Å, rel. 14